Theoretical powder XRD pattern of CsKNiF6 for Cu Ka, from a cell relaxed with PBE+U.
Intensities are scaled so that the largest is 100.

Cell and atoms:
Unit cell a=5.6278 b=6.1853 c=6.2080 alpha=60.13 beta=89.93 gamma=89.85
Fractional coordinates of all 9 atoms:
Cs (0.0000, 0.0000, 0.0000)
K (0.5005, 0.3337, 0.3325)
Ni (0.4990, 0.6663, 0.6674)
F (0.3133, 0.4301, 0.9059)
F (0.3135, 0.6662, 0.4299)
F (0.3160, 0.9074, 0.6665)
F (0.6820, 0.4252, 0.6684)
F (0.6847, 0.6660, 0.9050)
F (0.6845, 0.9029, 0.4290)

Main lines, most intense first (2θ from 15° to 90°):
22.89 deg, I 100; 43.40 deg, I 24; 28.76 deg, I 20; 16.51 deg, I 18; 37.06 deg, I 15; 47.56 deg, I 14; 28.87 deg, I 10; 37.17 deg, I 7; 51.61 deg, I 7; 43.54 deg, I 7